(1)
This entry pairs a crystal structure of La2AlNi9H with its calculated X-ray powder pattern. Radiation: a wavelength of 1.5418 Å. Structure: a crystal structure in Alexandria, relaxed with PBE.
No peak broadening, texture or thermal motion is included.

Cell and atoms:
```
La2AlNi9H
1.0
8.109 0.000 0.000
0.000 2.533 4.320
0.000 -2.533 4.320
La Al Ni H
2 1 9 1
Direct
0.231 0.000 0.000
0.769 0.000 0.000
0.500 0.500 0.500
0.000 0.001 0.499
0.000 0.499 0.001
0.000 0.501 0.501
0.248 0.336 0.336
0.248 0.667 0.667
0.500 0.503 0.995
0.500 0.995 0.503
0.752 0.336 0.336
0.752 0.667 0.667
0.500 0.135 0.135
```

Most intense lines, 2θ from 5° to 70°, by angle:
2θ/deg  I (rel.)
30.06  340
30.23  314
35.87  409
41.32  351
42.06  643
42.43  1000
44.70  410
58.59  164
62.49  175
68.43  227

(2)
This entry pairs a crystal structure of La2AlZnH with its calculated X-ray powder pattern. Radiation: a wavelength of 1.5418 Å. Structure: a crystal structure in Alexandria, relaxed with PBE.
No peak broadening, texture or thermal motion is included.

Cell and atoms:
```
La2AlZnH
1.0
5.191 0.000 0.000
0.000 5.191 0.000
0.000 0.000 4.024
La Al Zn H
2 1 1 1
Direct
0.000 0.500 0.000
0.500 0.000 0.000
0.000 0.000 0.500
0.500 0.500 0.500
0.500 0.500 0.000
```

Most intense lines, 2θ from 5° to 70°, by angle:
2θ/deg  I (rel.)
22.09  155
24.25  238
33.03  1000
34.56  450
41.39  121
45.06  117
49.67  159
58.00  200
60.95  341
69.30  117

(3)
This entry pairs a crystal structure of Li2AlH4 with its calculated X-ray powder pattern. Radiation: a wavelength of 1.5418 Å. Structure: a crystal structure in Alexandria, relaxed with PBE.
No peak broadening, texture or thermal motion is included.

Cell and atoms:
```
Li2AlH4
1.0
9.539 0.000 0.000
0.000 3.086 0.000
-1.769 0.000 4.235
Li Al H
4 2 8
Direct
0.190 0.000 0.176
0.310 0.500 0.824
0.690 0.500 0.176
0.810 0.000 0.824
0.000 0.500 0.500
0.500 0.000 0.500
0.102 0.000 0.454
0.128 0.500 0.911
0.372 0.000 0.089
0.398 0.500 0.546
0.602 0.500 0.454
0.628 0.000 0.911
0.872 0.500 0.089
0.898 0.000 0.546
```

Most intense lines, 2θ from 5° to 70°, by angle:
2θ/deg  I (rel.)
20.18  766
20.98  869
22.85  911
30.70  631
34.60  578
35.10  1000
38.13  408
39.48  338
42.51  589
56.93  269

(4)
This entry pairs a crystal structure of Li2AlH5 with its calculated X-ray powder pattern. Radiation: a wavelength of 1.5418 Å. Structure: a crystal structure in Alexandria, relaxed with PBE.
No peak broadening, texture or thermal motion is included.

Cell and atoms:
```
Li2AlH5
1.0
3.733 -3.731 0.000
3.733 3.731 0.000
-3.732 0.000 5.928
Li Al H
4 2 10
Direct
0.000 0.000 0.000
0.000 0.000 0.500
0.000 0.500 0.000
0.500 0.000 0.500
0.374 0.626 0.750
0.626 0.374 0.250
0.126 0.874 0.250
0.195 0.701 0.902
0.295 0.298 0.589
0.298 0.295 0.089
0.299 0.805 0.598
0.701 0.195 0.402
0.702 0.705 0.911
0.705 0.702 0.411
0.805 0.299 0.098
0.874 0.126 0.750
```

Most intense lines, 2θ from 5° to 70°, by angle:
2θ/deg  I (rel.)
18.40  383
28.24  1000
33.97  164
38.91  277
41.76  97
46.05  131
52.39  88
57.35  187
58.45  95
64.10  68

(5)
This entry pairs a crystal structure of LiAlH5 with its calculated X-ray powder pattern. Radiation: a wavelength of 1.5418 Å. Structure: a crystal structure in Alexandria, relaxed with PBE.
No peak broadening, texture or thermal motion is included.

Cell and atoms:
```
LiAlH5
1.0
3.861 -2.543 0.000
3.861 2.543 0.000
-3.409 0.000 6.421
Li Al H
2 2 10
Direct
0.046 0.954 0.750
0.954 0.046 0.250
0.500 0.500 0.000
0.500 0.500 0.500
0.091 0.903 0.491
0.097 0.909 0.009
0.239 0.289 0.883
0.289 0.239 0.383
0.442 0.558 0.750
0.558 0.442 0.250
0.711 0.761 0.617
0.761 0.711 0.117
0.903 0.091 0.991
0.909 0.097 0.509
```

Most intense lines, 2θ from 5° to 70°, by angle:
2θ/deg  I (rel.)
21.80  1000
26.13  805
27.81  673
30.22  898
35.30  397
40.37  562
44.45  296
45.52  301
60.25  247
62.86  232

(6)
This entry pairs a crystal structure of Na2LiAlH6 with its calculated X-ray powder pattern. Radiation: a wavelength of 1.5418 Å. Structure: a crystal structure in Alexandria, relaxed with PBE.
No peak broadening, texture or thermal motion is included.

Cell and atoms:
```
Na2LiAlH6
1.0
5.149 0.000 0.000
0.000 5.161 0.000
-5.144 0.000 7.298
Na Li Al H
4 2 2 12
Direct
0.248 0.016 0.250
0.248 0.484 0.750
0.752 0.516 0.250
0.752 0.984 0.750
0.500 0.000 0.000
0.500 0.500 0.500
0.000 0.000 0.500
0.000 0.500 0.000
0.177 0.232 0.971
0.177 0.268 0.471
0.238 0.708 0.971
0.238 0.792 0.471
0.293 0.009 0.737
0.293 0.491 0.237
0.707 0.509 0.763
0.707 0.991 0.263
0.762 0.208 0.529
0.762 0.292 0.029
0.823 0.732 0.529
0.823 0.768 0.029
```

Most intense lines, 2θ from 5° to 70°, by angle:
2θ/deg  I (rel.)
21.10  220
24.41  35
34.79  1000
41.05  96
42.96  30
50.03  202
54.86  32
62.34  225
62.45  116
66.61  21

(7)
This entry pairs a crystal structure of LiAl2H2O4 with its calculated X-ray powder pattern. Radiation: a wavelength of 1.5418 Å. Structure: a crystal structure in Alexandria, relaxed with PBE.
No peak broadening, texture or thermal motion is included.

Cell and atoms:
```
LiAl2H2O4
1.0
-1.435 7.644 1.872
1.435 -7.644 1.872
1.435 7.644 -1.872
Li Al H O
1 2 2 4
Direct
0.000 0.000 0.000
0.012 0.207 0.805
0.402 0.207 0.195
0.354 0.927 0.428
0.499 0.927 0.572
0.092 0.703 0.389
0.314 0.703 0.611
0.489 0.707 0.781
0.926 0.707 0.219
```

Most intense lines, 2θ from 5° to 70°, by angle:
2θ/deg  I (rel.)
11.58  1000
24.48  146
29.61  99
35.91  61
43.24  244
48.64  74
50.17  56
54.00  52
63.55  53
67.08  84

(8)
This entry pairs a crystal structure of LiAl2H2O4 with its calculated X-ray powder pattern. Radiation: a wavelength of 1.5418 Å. Structure: a crystal structure in Alexandria, relaxed with PBE.
No peak broadening, texture or thermal motion is included.

Cell and atoms:
```
LiAl2H2O4
1.0
8.264 -1.465 0.000
8.264 1.465 0.000
-0.176 0.000 3.827
Li Al H O
1 2 2 4
Direct
0.000 0.000 0.000
0.202 0.202 0.043
0.601 0.601 0.522
0.828 0.828 0.080
0.962 0.962 0.474
0.024 0.024 0.511
0.174 0.174 0.538
0.614 0.614 0.026
0.768 0.768 0.056
```

Most intense lines, 2θ from 5° to 70°, by angle:
2θ/deg  I (rel.)
10.72  1000
25.20  58
26.11  59
34.69  26
41.19  133
47.52  55
48.34  27
49.62  56
63.54  46
65.74  43

(9)
This entry pairs a crystal structure of LiAlSiH2O5 with its calculated X-ray powder pattern. Radiation: a wavelength of 1.5418 Å. Structure: a crystal structure in Alexandria, relaxed with PBE.
No peak broadening, texture or thermal motion is included.

Cell and atoms:
```
LiAlSiH2O5
1.0
10.621 0.000 0.000
0.000 8.112 0.000
0.000 0.000 5.072
Li Al Si H O
4 4 4 8 20
Direct
0.188 0.163 0.000
0.312 0.663 0.500
0.688 0.337 0.000
0.812 0.837 0.500
0.158 0.572 0.994
0.342 0.072 0.494
0.658 0.928 0.994
0.842 0.428 0.494
0.137 0.361 0.495
0.363 0.861 0.995
0.637 0.139 0.495
0.863 0.639 0.995
0.017 0.000 0.200
0.051 0.873 0.984
0.449 0.373 0.484
0.483 0.500 0.700
0.517 0.500 0.200
0.551 0.627 0.984
0.949 0.127 0.484
0.983 0.000 0.700
0.013 0.674 0.940
0.053 0.994 0.020
0.164 0.385 0.812
0.179 0.528 0.333
0.219 0.203 0.387
0.281 0.703 0.887
0.321 0.028 0.833
0.336 0.885 0.312
0.447 0.494 0.520
0.487 0.174 0.440
0.513 0.826 0.940
0.553 0.506 0.020
0.664 0.115 0.812
0.679 0.972 0.333
0.719 0.297 0.387
0.781 0.797 0.887
0.821 0.472 0.833
0.836 0.615 0.312
0.947 0.006 0.520
0.987 0.326 0.440
```

Most intense lines, 2θ from 5° to 70°, by angle:
2θ/deg  I (rel.)
13.74  645
16.69  121
19.98  239
20.65  1000
27.49  771
29.42  369
32.92  146
34.22  144
35.39  325
38.12  240